Starting from a cell relaxed with GGA-PBE, the XRD peak list of Pm2ErTm4Mg was simulated for Cu Kα (weighted mean of Kα1 and Kα2).
Intensities are scaled so that the largest is 1000.

Largest 10 diffraction maxima, sorted by position, 2θ = 5–70°:
2θ/deg	I_rel	(hkl)
31.2	1000	1 1 2
35.8	174	0 0 4
36.4	167	2 0 0
36.5	165	0 2 0
52.0	121	2 0 4
52.1	120	0 2 4
61.6	145	1 1 6
62.3	140	3 1 2
62.4	139	1 3 2
65.2	123	2 2 4

Crystal structure
```
8
Lattice="4.940 0.000 0.000 0.000 4.924 0.000 -0.009 0.000 10.024" Properties=species:S:1:pos:R:3 pbc="T T T"
Pm 0.000 0.000 0.000
Pm 2.465 2.462 5.012
Er -0.005 0.000 5.012
Tm -0.001 2.462 2.510
Tm 4.931 2.462 7.514
Tm 2.468 0.000 2.505
Tm 2.463 0.000 7.518
Mg 2.470 2.462 0.000
```